# Er2Be15Fe2
Simulated powder X-ray diffraction pattern, Cu Ka. Input: the GGA-PBE geometry in Alexandria.

Principal peaks in the range 10° ≤ 2θ ≤ 90°, in order of rising 2θ:
22.80 deg, rel. 100.0, (1 1 0)
23.94 deg, rel. 13.0, (0 0 3)
33.29 deg, rel. 39.7, (1 1 3)
34.81 deg, rel. 19.3, (1 0 4)
40.03 deg, rel. 28.2, (3 0 0)
42.02 deg, rel. 13.3, (0 2 4)
46.56 deg, rel. 20.9, (2 2 0)
47.18 deg, rel. 19.3, (3 0 3)
48.33 deg, rel. 16.3, (2 1 4)
54.66 deg, rel. 8.0, (1 2 5)
63.05 deg, rel. 12.9, (4 1 0)
68.45 deg, rel. 11.0, (1 4 3)

Cell and atoms:
```
data_Er2Be15Fe2
_cell_length_a 7.8021
_cell_length_b 7.8021
_cell_length_c 11.1526
_cell_angle_alpha 90.00
_cell_angle_beta 90.00
_cell_angle_gamma 120.00
_symmetry_space_group_name_H-M 'R -3 m'
_symmetry_Int_Tables_number 166
_symmetry_space_group_name_Hall '-R 3 2"'
loop_
_atom_site_label
_atom_site_type_symbol
_atom_site_fract_x
_atom_site_fract_y
_atom_site_fract_z
_atom_site_occupancy
Er1 Er 0.0000 0.0000 0.1574 1
Be1 Be 0.0000 0.2778 0.5000 1
Be2 Be 0.0000 0.5000 0.0000 1
Be3 Be 0.0101 0.5051 0.3414 1
Fe1 Fe 0.0000 0.0000 0.4024 1
```